(1)
Starting from a DFT-relaxed cell (GGA-PBE, Alexandria), the powder X-ray diffraction pattern of TbCe6Te8 was calculated for Cu Kα, 1.54184 Å.
Intensities are scaled so that the largest is 100.

Structure:
```
data_TbCe6Te8
_chemical_formula_sum 'Tb1 Ce6 Te8'
_cell_length_a 8.949
_cell_length_b 8.949
_cell_length_c 8.949
_cell_angle_alpha 60.00
_cell_angle_beta 60.00
_cell_angle_gamma 60.00
_symmetry_space_group_name_H-M 'P 1'
_symmetry_Int_Tables_number 1
loop_
_symmetry_equiv_pos_as_xyz
'x,y,z'
loop_
_atom_site_label
_atom_site_type_symbol
_atom_site_fract_x
_atom_site_fract_y
_atom_site_fract_z
Tb1 Tb 0.000 0.000 0.000
Ce1 Ce 0.000 0.000 0.500
Ce2 Ce 0.000 0.500 0.000
Ce3 Ce 0.000 0.500 0.500
Ce4 Ce 0.500 0.000 0.000
Ce5 Ce 0.500 0.000 0.500
Ce6 Ce 0.500 0.500 0.000
Te1 Te 0.250 0.250 0.250
Te2 Te 0.250 0.250 0.750
Te3 Te 0.250 0.750 0.250
Te4 Te 0.250 0.750 0.750
Te5 Te 0.750 0.250 0.250
Te6 Te 0.750 0.250 0.750
Te7 Te 0.750 0.750 0.250
Te8 Te 0.750 0.750 0.750
```

Most intense lines, 10 to 90 degrees two-theta, by angle:
d [Å]  2θ/deg  I/Imax
7.307  12.11  6
3.164  28.20  100
2.237  40.31  76
1.827  49.92  27
1.582  58.33  13
1.415  66.02  35
1.292  73.28  26
1.119  87.12  8


(2)
Starting from a DFT-relaxed cell (GGA-PBE, Alexandria), the powder X-ray diffraction pattern of TbCe2Te4 was calculated for Cu Kα, 1.54184 Å.
Intensities are scaled so that the largest is 100.

Structure:
```
data_TbCe2Te4
_chemical_formula_sum 'Tb2 Ce4 Te8'
_cell_length_a 8.835
_cell_length_b 8.835
_cell_length_c 8.835
_cell_angle_alpha 119.75
_cell_angle_beta 119.43
_cell_angle_gamma 90.71
_symmetry_space_group_name_H-M 'P 1'
_symmetry_Int_Tables_number 1
loop_
_symmetry_equiv_pos_as_xyz
'x,y,z'
loop_
_atom_site_label
_atom_site_type_symbol
_atom_site_fract_x
_atom_site_fract_y
_atom_site_fract_z
Tb1 Tb 0.500 0.000 0.000
Tb2 Tb 0.500 0.500 0.500
Ce1 Ce 0.000 0.000 0.000
Ce2 Ce 0.000 0.000 0.500
Ce3 Ce 0.000 0.500 0.000
Ce4 Ce 0.500 0.000 0.500
Te1 Te 0.247 0.741 0.506
Te2 Te 0.253 0.258 0.505
Te3 Te 0.253 0.748 0.995
Te4 Te 0.266 0.259 0.006
Te5 Te 0.734 0.741 0.994
Te6 Te 0.747 0.252 0.005
Te7 Te 0.747 0.742 0.495
Te8 Te 0.753 0.259 0.494
```

Most intense lines, 10 to 90 degrees two-theta, by angle:
d [Å]  2θ/deg  I/Imax
3.143  28.40  100
3.104  28.76  48
2.228  40.49  19
2.217  40.69  19
2.209  40.86  74
1.810  50.42  20
1.804  50.59  20
1.402  66.70  26


(3)
Starting from a DFT-relaxed cell (GGA-PBE, Alexandria), the powder X-ray diffraction pattern of Tb4CeTh3 was calculated for Cu Kα, 1.54184 Å.
Intensities are scaled so that the largest is 100.

Structure:
```
data_Tb4CeTh3
_chemical_formula_sum 'Tb8 Ce2 Th6'
_cell_length_a 25.749
_cell_length_b 3.377
_cell_length_c 5.971
_cell_angle_alpha 90.00
_cell_angle_beta 95.18
_cell_angle_gamma 90.00
_symmetry_space_group_name_H-M 'P 1'
_symmetry_Int_Tables_number 1
loop_
_symmetry_equiv_pos_as_xyz
'x,y,z'
loop_
_atom_site_label
_atom_site_type_symbol
_atom_site_fract_x
_atom_site_fract_y
_atom_site_fract_z
Tb1 Tb 0.104 0.000 0.217
Tb2 Tb 0.219 0.500 0.234
Tb3 Tb 0.281 0.000 0.766
Tb4 Tb 0.396 0.500 0.783
Tb5 Tb 0.604 0.500 0.217
Tb6 Tb 0.719 0.000 0.234
Tb7 Tb 0.781 0.500 0.766
Tb8 Tb 0.896 0.000 0.783
Ce1 Ce 0.000 0.500 0.000
Ce2 Ce 0.500 0.000 0.000
Th1 Th 0.000 0.000 0.500
Th2 Th 0.148 0.000 0.731
Th3 Th 0.352 0.500 0.269
Th4 Th 0.500 0.500 0.500
Th5 Th 0.648 0.500 0.731
Th6 Th 0.852 0.000 0.269
```

Most intense lines, 10 to 90 degrees two-theta, by angle:
d [Å]  2θ/deg  I/Imax
3.348  26.62  33
2.956  30.24  36
2.933  30.47  100
2.740  32.68  34
2.721  32.92  28
2.483  36.18  31
2.343  38.42  28
1.507  61.55  25